Ta2NbO: computed powder X-ray diffraction pattern (Cu Kα (weighted mean of Kα1 and Kα2)), based on the PBE geometry in Alexandria.
Kinematic intensities with the Lorentz-polarization factor, no thermal factor.

Structural model:
```
data_Ta2NbO
_space_group_name_H-M_alt 'I -4 2 d'
_space_group_IT_number 122
_space_group_name_Hall 'I -4 2bw'
_cell_length_a 7.317
_cell_length_b 7.317
_cell_length_c 4.707
_cell_angle_alpha 90.00
_cell_angle_beta 90.00
_cell_angle_gamma 90.00
loop_
_atom_site_label
_atom_site_fract_x
_atom_site_fract_y
_atom_site_fract_z
_atom_site_occupancy
Ta1 0.133 0.750 0.125 1
Nb1 0.000 0.000 0.500 1
O1 0.000 0.000 0.000 1
```

Most intense lines, 5 to 70 degrees two-theta, by angle:
hkl 1 0 1, 22.46 deg, 3.958 Å, I 9; hkl 2 1 1, 33.35 deg, 2.687 Å, I 100; hkl 3 1 0, 38.92 deg, 2.314 Å, I 30; hkl 3 0 1, 41.71 deg, 2.166 Å, I 17; hkl 1 1 2, 42.19 deg, 2.142 Å, I 35; hkl 2 0 2, 45.85 deg, 1.979 Å, I 9; hkl 3 2 1, 48.87 deg, 1.864 Å, I 22; hkl 4 2 0, 56.22 deg, 1.636 Å, I 13; hkl 4 0 2, 64.52 deg, 1.444 Å, I 15; hkl 5 1 0, 64.99 deg, 1.435 Å, I 10; hkl 2 1 3, 66.04 deg, 1.415 Å, I 8; hkl 4 3 1, 66.96 deg, 1.397 Å, I 11